No. 1
For Pr4Sn8Pt, DFT lattice parameters and positions (GGA-PBE) gives the theoretical XRD peak list in this record (λ = 1.5418 Å (Cu Kα)).
Intensities are scaled so that the largest is 100.

Main lines, low angle first (2θ from 15° to 90°):
2θ = 30.6°, intensity 13; 2θ = 31.9°, intensity 100; 2θ = 32.2°, intensity 11; 2θ = 34.7°, intensity 8; 2θ = 36.7°, intensity 13; 2θ = 39.5°, intensity 23; 2θ = 40.1°, intensity 22; 2θ = 55.0°, intensity 8; 2θ = 55.2°, intensity 8; 2θ = 57.6°, intensity 15; 2θ = 66.9°, intensity 12; 2θ = 67.7°, intensity 12

a = 4.499 Å, b = 4.560 Å, c = 17.538 Å
α = 90.00°, β = 90.00°, γ = 90.00°
Positions (direct):
Pr 0.000 0.000 0.000
Pr 0.000 0.500 0.488
Pr 0.500 0.000 0.788
Pr 0.500 0.500 0.290
Sn 0.000 0.000 0.326
Sn 0.000 0.000 0.626
Sn 0.000 0.500 0.144
Sn 0.000 0.500 0.858
Sn 0.500 0.000 0.147
Sn 0.500 0.000 0.441
Sn 0.500 0.500 0.624
Sn 0.500 0.500 0.967
Pt 0.000 0.500 0.708


No. 2
For Pr6SnPt2, DFT lattice parameters and positions (GGA-PBE) gives the theoretical XRD peak list in this record (λ = 1.5418 Å (Cu Kα)).
Intensities are scaled so that the largest is 100.

Main lines, low angle first (2θ from 15° to 90°):
2θ = 18.3°, intensity 20; 2θ = 30.1°, intensity 73; 2θ = 31.8°, intensity 76; 2θ = 32.1°, intensity 89; 2θ = 33.1°, intensity 74; 2θ = 33.8°, intensity 38; 2θ = 37.1°, intensity 100; 2θ = 53.5°, intensity 33; 2θ = 54.6°, intensity 21; 2θ = 57.2°, intensity 36; 2θ = 66.9°, intensity 21; 2θ = 68.5°, intensity 16

a = 8.946 Å, b = 8.946 Å, c = 8.946 Å
α = 114.55°, β = 109.88°, γ = 104.14°
Positions (direct):
Pr 0.032 0.233 0.800
Pr 0.182 0.292 0.474
Pr 0.182 0.708 0.890
Pr 0.328 0.024 0.695
Pr 0.328 0.633 0.305
Pr 0.433 0.233 0.200
Pr 0.567 0.767 0.800
Pr 0.672 0.367 0.695
Pr 0.672 0.976 0.305
Pr 0.818 0.292 0.110
Pr 0.818 0.708 0.526
Pr 0.968 0.767 0.200
Sn 0.000 0.000 0.000
Sn 0.500 0.500 0.000
Pt 0.130 0.630 0.500
Pt 0.348 0.000 0.348
Pt 0.652 0.000 0.652
Pt 0.870 0.370 0.500


No. 3
For Pr6Sn3Pt, DFT lattice parameters and positions (GGA-PBE) gives the theoretical XRD peak list in this record (λ = 1.5418 Å (Cu Kα)).
Intensities are scaled so that the largest is 100.

Main lines, low angle first (2θ from 15° to 90°):
2θ = 28.8°, intensity 25; 2θ = 29.1°, intensity 42; 2θ = 29.2°, intensity 30; 2θ = 29.5°, intensity 40; 2θ = 30.8°, intensity 42; 2θ = 30.9°, intensity 32; 2θ = 31.1°, intensity 28; 2θ = 31.7°, intensity 38; 2θ = 33.0°, intensity 100; 2θ = 46.7°, intensity 25; 2θ = 47.0°, intensity 26; 2θ = 50.1°, intensity 31

a = 6.337 Å, b = 9.014 Å, c = 12.844 Å
α = 90.00°, β = 118.35°, γ = 90.00°
Positions (direct):
Pr 0.052 0.163 0.437
Pr 0.052 0.337 0.937
Pr 0.340 0.686 0.439
Pr 0.340 0.814 0.939
Pr 0.389 0.043 0.262
Pr 0.389 0.457 0.762
Pr 0.611 0.543 0.238
Pr 0.611 0.957 0.738
Pr 0.660 0.186 0.061
Pr 0.660 0.314 0.561
Pr 0.948 0.663 0.063
Pr 0.948 0.837 0.563
Sn 0.000 0.000 0.000
Sn 0.000 0.500 0.500
Sn 0.163 0.118 0.758
Sn 0.163 0.382 0.258
Sn 0.837 0.618 0.742
Sn 0.837 0.882 0.242
Pt 0.500 0.000 0.500
Pt 0.500 0.500 0.000


No. 4
For Pr2SnPt3, DFT lattice parameters and positions (GGA-PBE) gives the theoretical XRD peak list in this record (λ = 1.5418 Å (Cu Kα)).
Intensities are scaled so that the largest is 100.

Main lines, low angle first (2θ from 15° to 90°):
2θ = 22.8°, intensity 25; 2θ = 32.1°, intensity 100; 2θ = 32.2°, intensity 51; 2θ = 39.1°, intensity 36; 2θ = 39.4°, intensity 70; 2θ = 46.0°, intensity 17; 2θ = 46.5°, intensity 22; 2θ = 51.5°, intensity 28; 2θ = 62.3°, intensity 18; 2θ = 62.6°, intensity 36; 2θ = 67.1°, intensity 13; 2θ = 89.3°, intensity 17

a = 9.145 Å, b = 8.810 Å, c = 6.040 Å
α = 73.37°, β = 67.37°, γ = 39.26°
Positions (direct):
Pr 0.238 0.762 0.762
Pr 0.250 0.250 0.250
Pr 0.750 0.750 0.750
Pr 0.762 0.238 0.238
Sn 0.334 0.334 0.666
Sn 0.666 0.666 0.334
Pt 0.166 0.166 0.834
Pt 0.167 0.665 0.335
Pt 0.335 0.833 0.167
Pt 0.665 0.167 0.833
Pt 0.833 0.335 0.665
Pt 0.834 0.834 0.166


No. 5
For Pr2SnPt3, DFT lattice parameters and positions (GGA-PBE) gives the theoretical XRD peak list in this record (λ = 1.5418 Å (Cu Kα)).
Intensities are scaled so that the largest is 100.

Main lines, low angle first (2θ from 15° to 90°):
2θ = 22.4°, intensity 17; 2θ = 32.0°, intensity 100; 2θ = 39.5°, intensity 68; 2θ = 45.7°, intensity 15; 2θ = 45.9°, intensity 16; 2θ = 51.7°, intensity 26; 2θ = 62.0°, intensity 36; 2θ = 67.0°, intensity 24; 2θ = 71.7°, intensity 12; 2θ = 75.8°, intensity 8; 2θ = 85.1°, intensity 8; 2θ = 89.3°, intensity 14

a = 4.559 Å, b = 4.559 Å, c = 15.881 Å
α = 90.00°, β = 90.00°, γ = 120.00°
Positions (direct):
Pr 0.000 0.000 0.121
Pr 0.000 0.000 0.379
Pr 0.000 0.000 0.621
Pr 0.000 0.000 0.879
Sn 0.333 0.667 0.250
Sn 0.667 0.333 0.750
Pt 0.333 0.667 0.001
Pt 0.333 0.667 0.499
Pt 0.333 0.667 0.750
Pt 0.667 0.333 0.250
Pt 0.667 0.333 0.501
Pt 0.667 0.333 0.999


No. 6
For TbPrPt3, DFT lattice parameters and positions (GGA-PBE) gives the theoretical XRD peak list in this record (λ = 1.5418 Å (Cu Kα)).
Intensities are scaled so that the largest is 100.

Main lines, low angle first (2θ from 15° to 90°):
2θ = 22.9°, intensity 16; 2θ = 32.5°, intensity 100; 2θ = 39.4°, intensity 40; 2θ = 42.1°, intensity 24; 2θ = 43.4°, intensity 29; 2θ = 46.3°, intensity 18; 2θ = 49.6°, intensity 11; 2θ = 54.2°, intensity 11; 2θ = 62.4°, intensity 21; 2θ = 64.4°, intensity 14; 2θ = 67.0°, intensity 9; 2θ = 70.9°, intensity 9

a = 13.673 Å, b = 13.673 Å, c = 4.290 Å
α = 90.00°, β = 90.00°, γ = 163.52°
Positions (direct):
Tb 0.207 0.793 0.750
Tb 0.793 0.207 0.250
Pr 0.074 0.926 0.250
Pr 0.926 0.074 0.750
Pt 0.313 0.687 0.750
Pt 0.375 0.625 0.250
Pt 0.472 0.528 0.250
Pt 0.528 0.472 0.750
Pt 0.625 0.375 0.750
Pt 0.687 0.313 0.250